Starting from a DFT-relaxed cell (PBE+U, Alexandria), the X-ray powder pattern of BaAlV4O7 was calculated for Cu Kα (λ = 1.5418 Å).
Intensities are scaled so that the largest is 100.

Structural model:
Lattice parameters (Å, degrees): 5.9936 5.9936 10.6798 90.00 90.00 120.00
Space group P6_3mc (No. 186)
Symmetry-distinct sites (fractional):
Ba: 0.3333 0.6667 0.0000
Al: 0.3333 0.6667 0.3996
V: 0.0000 0.0000 0.4977
V: 0.1654 0.3309 0.7090
O: 0.0000 0.0000 0.3144
O: 0.0137 0.5069 0.3078
O: 0.1840 0.3680 0.5235

Top 10 peaks for 10 to 90 degrees two-theta, in order of rising 2θ:
d 4.668, 2θ = 19.01°, rel. 39, hkl 1 0 1
d 2.997, 2θ = 29.81°, rel. 29, hkl 1 1 0
d 2.936, 2θ = 30.45°, rel. 55, hkl 1 0 3
d 2.670, 2θ = 33.57°, rel. 29, hkl 0 0 4
d 2.613, 2θ = 34.31°, rel. 100, hkl 1 1 2
d 2.522, 2θ = 35.60°, rel. 87, hkl 2 0 1
d 1.718, 2θ = 53.32°, rel. 25, hkl 2 1 3
d 1.649, 2θ = 55.74°, rel. 39, hkl 2 0 5
d 1.646, 2θ = 55.86°, rel. 23, hkl 3 0 2
d 1.498, 2θ = 61.93°, rel. 32, hkl 2 2 0

***

Starting from a DFT-relaxed cell (PBE+U, Alexandria), the X-ray powder pattern of Ba2AlW3O8 was calculated for Cu Kα (λ = 1.5418 Å).
Intensities are scaled so that the largest is 100.

Structural model:
Lattice parameters (Å, degrees): 3.939 3.939 13.037 90.00 90.00 90.00
Space group P4/mmm (No. 123)
Symmetry-distinct sites (fractional):
Ba: 0.000 0.000 0.196
Al: 0.000 0.000 0.500
W: 0.500 0.500 0.000
W: 0.500 0.500 0.401
O: 0.000 0.500 0.000
O: 0.000 0.500 0.348
O: 0.500 0.500 0.148

Top 10 peaks for 10 to 90 degrees two-theta, in order of rising 2θ:
d 3.939, 2θ = 22.57°, rel. 28, hkl 1 0 0
d 3.371, 2θ = 26.44°, rel. 100, hkl 1 0 2
d 2.919, 2θ = 30.63°, rel. 82, hkl 1 0 3
d 2.786, 2θ = 32.13°, rel. 82, hkl 1 1 0
d 2.607, 2θ = 34.40°, rel. 38, hkl 0 0 5
d 1.970, 2θ = 46.08°, rel. 47, hkl 2 0 0
d 1.903, 2θ = 47.78°, rel. 58, hkl 1 1 5
d 1.701, 2θ = 53.91°, rel. 29, hkl 2 1 2
d 1.633, 2θ = 56.35°, rel. 30, hkl 2 1 3
d 1.572, 2θ = 58.75°, rel. 32, hkl 2 0 5

***

Starting from a DFT-relaxed cell (PBE+U, Alexandria), the X-ray powder pattern of BaAlWO6 was calculated for Cu Kα (λ = 1.5418 Å).
Intensities are scaled so that the largest is 100.

Structural model:
Lattice parameters (Å, degrees): 5.252 9.232 5.614 90.00 90.26 90.00
Space group C2 (No. 5)
Symmetry-distinct sites (fractional):
Ba: 0.000 0.000 0.000
Al: 0.000 0.684 0.500
W: 0.000 0.325 0.500
O: 0.099 0.509 0.668
O: 0.197 0.806 0.695
O: 0.199 0.205 0.703

Top 10 peaks for 10 to 90 degrees two-theta, in order of rising 2θ:
d 5.614, 2θ = 15.78°, rel. 14, hkl 0 0 1
d 4.565, 2θ = 19.44°, rel. 22, hkl 1 1 0
d 3.565, 2θ = 24.97°, rel. 56, hkl 0 2 1
d 3.542, 2θ = 25.14°, rel. 100, hkl 1 1 1
d 2.807, 2θ = 31.88°, rel. 13, hkl 0 0 2
d 2.655, 2θ = 33.76°, rel. 27, hkl 1 3 0
d 2.626, 2θ = 34.14°, rel. 14, hkl 2 0 0
d 1.927, 2θ = 47.17°, rel. 20, hkl 1 3 2
d 1.734, 2θ = 52.79°, rel. 15, hkl 0 2 3
d 1.663, 2θ = 55.22°, rel. 15, hkl 1 5 1

***

Starting from a DFT-relaxed cell (PBE+U, Alexandria), the X-ray powder pattern of Ba2AlW3O7 was calculated for Cu Kα (λ = 1.5418 Å).
Intensities are scaled so that the largest is 100.

Structural model:
Lattice parameters (Å, degrees): 3.422 4.152 13.690 90.00 90.00 90.00
Space group Pmmm (No. 47)
Symmetry-distinct sites (fractional):
Ba: 0.000 0.000 0.196
Al: 0.000 0.000 0.500
W: 0.500 0.500 0.000
W: 0.500 0.500 0.407
O: 0.000 0.500 0.324
O: 0.500 0.000 0.000
O: 0.500 0.000 0.374
O: 0.500 0.500 0.140

Top 10 peaks for 10 to 90 degrees two-theta, in order of rising 2θ:
d 3.550, 2θ = 25.09°, rel. 60, hkl 0 1 2
d 3.065, 2θ = 29.13°, rel. 100, hkl 1 0 2
d 2.738, 2θ = 32.71°, rel. 79, hkl 0 0 5
d 2.641, 2θ = 33.95°, rel. 87, hkl 1 1 0
d 2.076, 2θ = 43.60°, rel. 30, hkl 0 2 0
d 1.901, 2θ = 47.86°, rel. 62, hkl 1 1 5
d 1.769, 2θ = 51.67°, rel. 16, hkl 0 1 7
d 1.718, 2θ = 53.32°, rel. 21, hkl 1 2 2
d 1.711, 2θ = 53.56°, rel. 16, hkl 2 0 0
d 1.654, 2θ = 55.56°, rel. 35, hkl 0 2 5